This entry pairs a crystal structure of La3Ga2Ni4 with its calculated PXRD pattern. Radiation: Cu Kα, 1.54184 Å. Structure: DFT lattice parameters and positions (PBE).

Peak list (10 most intense, 2θ = 15–90°, sorted by position)
25.82 deg, d = 3.450 Å, rel. 80
30.02 deg, d = 2.976 Å, rel. 33
30.61 deg, d = 2.921 Å, rel. 71
34.01 deg, d = 2.636 Å, rel. 100
34.72 deg, d = 2.583 Å, rel. 52
35.53 deg, d = 2.527 Å, rel. 53
38.27 deg, d = 2.352 Å, rel. 62
38.85 deg, d = 2.318 Å, rel. 46
41.32 deg, d = 2.185 Å, rel. 76
42.72 deg, d = 2.117 Å, rel. 73

Atomic structure:
Cell: 5.5350 5.5350 8.3313 Å, 98.14 98.14 44.97°
Element x y z (fractional)
1 La 0.0000 0.0000 0.0000
2 La 0.3761 0.3761 0.6204
3 La 0.6239 0.6239 0.3796
4 Ga 0.3215 0.3215 0.2140
5 Ga 0.6785 0.6785 0.7860
6 Ni 0.0852 0.0852 0.6392
7 Ni 0.2604 0.2604 0.9147
8 Ni 0.7396 0.7396 0.0853
9 Ni 0.9148 0.9148 0.3608